The following is a computed XRD peak list of Na4In4Au. It was derived from a crystal structure in Alexandria, relaxed with PBE, using copper Kα.
Kinematic intensities with the Lorentz-polarization factor, no thermal factor.

Top 10 peaks for 15° ≤ 2θ ≤ 90°, in order of falling intensity:
(3 1 -1), 3.578 Å, intensity 100; (5 1 -1), 2.663 Å, intensity 94; (0 2 1), 2.472 Å, intensity 59; (1 1 -2), 2.748 Å, intensity 59; (1 1 0), 5.063 Å, intensity 46; (1 1 2), 2.398 Å, intensity 36; (4 0 -3), 2.154 Å, intensity 35; (5 1 -2), 2.391 Å, intensity 35; (4 2 0), 2.137 Å, intensity 23; (1 1 -1), 4.184 Å, intensity 23

a b c (Å): 15.2548 5.4425 6.5426
angles (deg): 90.00 115.16 90.00
Space group C2 (No. 5)
Symmetry-distinct sites (fractional):
Na: 0.1763 0.0000 0.0123 x4
Na: 0.1763 0.5195 0.3394 x4
In: 0.0819 0.5046 0.7344 x4
In: 0.0826 0.0159 0.4299 x4
Au: 0.0000 0.2587 0.0000 x2